Starting from a crystal structure in the Materials Project, relaxed with GGA-PBE, the X-ray powder pattern of DyMn2Ge2 was computed for Cu Kα (weighted mean of Kα1 and Kα2).
Peak positions follow from Bragg's law for the DFT cell and can differ from measured ones.

Most intense lines, 2θ from 5° to 70°, by intensity:
(1 1 2), 2.479 Å, intensity 100; (1 0 3), 2.666 Å, intensity 99; (2 0 0), 1.970 Å, intensity 56; (1 0 5), 1.902 Å, intensity 46; (2 1 3), 1.584 Å, intensity 41; (1 1 0), 2.786 Å, intensity 34; (2 1 5), 1.368 Å, intensity 31; (2 2 0), 1.393 Å, intensity 17; (1 1 6), 1.518 Å, intensity 15; (1 0 1), 3.703 Å, intensity 9

Structural model:
Lattice parameters (Å, degrees): 3.940 3.940 10.863 90.00 90.00 90.00
Fractional positions:
Dy 0.000 0.000 0.000
Dy 0.500 0.500 0.500
Mn 0.000 0.500 0.250
Mn 0.000 0.500 0.750
Mn 0.500 0.000 0.250
Mn 0.500 0.000 0.750
Ge 0.000 0.000 0.381
Ge 0.000 0.000 0.619
Ge 0.500 0.500 0.119
Ge 0.500 0.500 0.881